(1)
Calculated X-ray diffraction stick pattern of Pr3ZnIn3 for CuKα, from a structure optimized by DFT (GGA-PBE).
Intensities are scaled so that the largest is 100.

Peak list (8 most intense, 10° ≤ 2θ ≤ 90°, in order of rising 2θ)
2theta  I (rel.)
29.15  30
29.78  100
29.84  27
31.00  43
34.22  23
36.15  77
37.62  51
53.82  25

```
14
Lattice="5.778 -2.391 0.000 5.778 2.391 0.000 -4.966 0.000 14.584" Properties=species:S:1:pos:R:3 pbc="T T T"
Pr -1.365 0.000 5.662
Pr -3.469 0.000 13.349
Pr 1.741 0.000 3.231
Pr 4.849 0.000 11.353
Pr 10.059 0.000 1.235
Pr 7.955 0.000 8.922
Zn -0.128 0.000 8.886
Zn 6.718 0.000 5.698
In 1.961 0.000 6.605
In -0.209 0.000 13.536
In 1.540 0.000 11.090
In 5.050 0.000 3.493
In 6.799 0.000 1.047
In 4.629 0.000 7.978
```

(2)
Calculated X-ray diffraction stick pattern of NaCeBe2F8 for CuKα, from a structure optimized by DFT (GGA-PBE).
Intensities are scaled so that the largest is 100.

Peak list (8 most intense, 10° ≤ 2θ ≤ 90°, in order of rising 2θ)
2theta  I (rel.)
15.37  45
19.76  100
21.69  60
28.18  70
33.36  49
39.07  40
40.14  38
46.20  68

```
12
Lattice="2.686 1.551 5.763 -2.686 1.551 5.763 0.000 -3.102 5.763" Properties=species:S:1:pos:R:3 pbc="T T T"
Na 0.000 0.000 0.000
Ce 0.000 0.000 8.645
Be 0.000 0.000 4.596
Be 0.000 0.000 12.694
F -1.227 -1.780 7.480
F -2.155 0.173 9.811
F 0.000 0.000 6.125
F -0.928 1.953 7.480
F 0.928 -1.953 9.811
F 0.000 0.000 11.165
F 2.155 -0.173 7.480
F 1.227 1.780 9.811
```